Computed powder diffractogram
Compound: DyTh2WN5
Radiation: Cu Kα (weighted mean of Kα1 and Kα2)
Structure: a crystal structure in Alexandria, relaxed with GGA-PBE
Kinematic intensities with the Lorentz-polarization factor, no thermal factor.

Top 8 peaks for 2θ from 10° to 90°, by angle:
Position (°2θ)  I/Imax  index
29.27  18.8  2 1 0
30.22  100.0  0 0 2
33.02  37.9  2 1 1
37.27  15.0  2 2 0
42.55  23.2  2 1 2
48.69  13.8  2 2 2
53.66  15.2  2 0 3
55.48  13.0  4 1 0

```
data_DyTh2WN5
_symmetry_space_group_name_H-M 'P 1'
_symmetry_Int_Tables_number 1
_cell_length_a 6.824
_cell_length_b 6.824
_cell_length_c 5.919
_cell_angle_alpha 90.00
_cell_angle_beta 90.00
_cell_angle_gamma 90.00
loop_
_symmetry_equiv_pos_as_xyz
'x,y,z'
loop_
_atom_site_label
_atom_site_type_symbol
_atom_site_fract_x
_atom_site_fract_y
_atom_site_fract_z
Dy1 Dy 0.000 0.000 0.000
Dy2 Dy 0.500 0.500 0.000
Th1 Th 0.171 0.329 0.500
Th2 Th 0.329 0.829 0.500
Th3 Th 0.671 0.171 0.500
Th4 Th 0.829 0.671 0.500
W1 W 0.000 0.500 0.000
W2 W 0.500 0.000 0.000
N1 N 0.000 0.000 0.500
N2 N 0.144 0.644 0.234
N3 N 0.144 0.644 0.766
N4 N 0.356 0.144 0.234
N5 N 0.356 0.144 0.766
N6 N 0.500 0.500 0.500
N7 N 0.644 0.856 0.234
N8 N 0.644 0.856 0.766
N9 N 0.856 0.356 0.234
N10 N 0.856 0.356 0.766
```